1.
Structure and computed powder XRD pattern of Sr2Ca2GaCu3O9 (a DFT-relaxed cell (PBE, the Materials Project); Cu Ka).
Neutral-atom scattering factors, no anomalous dispersion.

Principal peaks in the range 10 to 80 degrees two-theta, by angle:
index, Position (°2θ), I_rel
8 0 0, 23.88, 76
6 1 1, 29.37, 189
0 2 0, 32.69, 297
0 0 2, 33.25, 328
8 1 1, 33.48, 1000
10 1 1, 38.18, 227
0 2 2, 47.32, 400
8 3 1, 58.85, 162
8 1 3, 59.56, 178
18 2 2, 75.78, 87

Crystal structure
```
data_Sr2Ca2GaCu3O9
_space_group_name_H-M_alt 'I m a 2'
_space_group_IT_number 46
_space_group_name_Hall 'I 2 -2a'
_cell_length_a 29.8512
_cell_length_b 5.4789
_cell_length_c 5.3883
_cell_angle_alpha 90.00
_cell_angle_beta 90.00
_cell_angle_gamma 90.00
loop_
_atom_site_label
_atom_site_type_symbol
_atom_site_fract_x
_atom_site_fract_y
_atom_site_fract_z
_atom_site_occupancy
Sr1 Sr 0.1726 0.0146 0.0000 1
Ca1 Ca 0.0560 0.5014 0.5054 1
Ga1 Ga 0.2500 0.5708 0.9551 1
Cu1 Cu 0.0000 0.0000 0.5067 1
Cu2 Cu 0.1138 0.9998 0.5042 1
O1 O 0.0008 0.7494 0.7575 1
O2 O 0.1054 0.2486 0.2521 1
O3 O 0.1085 0.7484 0.2548 1
O4 O 0.1928 0.0433 0.5218 1
O5 O 0.2500 0.6146 0.6039 1
```


2.
Structure and computed powder XRD pattern of Rb2NbCuS2 (a DFT-relaxed cell (PBE, the Materials Project); Cu Ka).
Neutral-atom scattering factors, no anomalous dispersion.

Principal peaks in the range 10 to 80 degrees two-theta, by angle:
index, Position (°2θ), I_rel
1 1 9, 23.50, 512
0 0 12, 23.98, 705
0 2 10, 27.11, 619
1 3 1, 30.12, 568
2 2 2, 30.68, 411
2 0 10, 31.52, 624
2 2 6, 32.77, 1000
1 3 9, 35.20, 601
2 2 10, 36.63, 818
0 4 4, 37.80, 516

Crystal structure
```
data_Rb2NbCuS2
_space_group_name_H-M_alt 'F d d d'
_space_group_IT_number 70
_cell_length_a 7.3671
_cell_length_b 9.7534
_cell_length_c 44.5355
_cell_angle_alpha 90.00
_cell_angle_beta 90.00
_cell_angle_gamma 90.00
loop_
_space_group_symop_operation_xyz
'x,y,z'
'-x,-y,-z'
'-x+1/4,-y+1/4,z'
'x+1/4,y+1/4,-z'
'x,-y+1/4,-z+1/4'
'-x,y+1/4,z+1/4'
'-x+1/4,y,-z+1/4'
'x+1/4,-y,z+1/4'
'x,y+1/2,z+1/2'
'-x,-y+1/2,-z+1/2'
'-x+1/4,-y+3/4,z+1/2'
'x+1/4,y+3/4,-z+1/2'
'x,-y+3/4,-z+3/4'
'-x,y+3/4,z+3/4'
'-x+1/4,y+1/2,-z+3/4'
'x+1/4,-y+1/2,z+3/4'
'x+1/2,y,z+1/2'
'-x+1/2,-y,-z+1/2'
'-x+3/4,-y+1/4,z+1/2'
'x+3/4,y+1/4,-z+1/2'
'x+1/2,-y+1/4,-z+3/4'
'-x+1/2,y+1/4,z+3/4'
'-x+3/4,y,-z+3/4'
'x+3/4,-y,z+3/4'
'x+1/2,y+1/2,z'
'-x+1/2,-y+1/2,-z'
'-x+3/4,-y+3/4,z'
'x+3/4,y+3/4,-z'
'x+1/2,-y+3/4,-z+1/4'
'-x+1/2,y+3/4,z+1/4'
'-x+3/4,y+1/2,-z+1/4'
'x+3/4,-y+1/2,z+1/4'
loop_
_atom_site_label
_atom_site_type_symbol
_atom_site_fract_x
_atom_site_fract_y
_atom_site_fract_z
_atom_site_occupancy
Rb1 Rb 0.1014 0.3130 0.0705 1
Nb1 Nb 0.0000 0.0000 0.5000 1
Cu1 Cu 0.0000 0.0000 0.0000 1
S1 S 0.0545 0.3050 0.9664 1
```


3.
Structure and computed powder XRD pattern of InGe3 (a DFT-relaxed cell (PBE, the Materials Project); Cu Ka).
Neutral-atom scattering factors, no anomalous dispersion.

Principal peaks in the range 10 to 80 degrees two-theta, by angle:
index, Position (°2θ), I_rel
1 1 1, 21.99, 35
2 0 0, 25.44, 18
2 2 0, 36.29, 1000
3 1 1, 42.84, 18
4 0 0, 52.26, 172
3 3 1, 57.36, 7
4 2 0, 59.00, 7
4 2 2, 65.29, 345
5 1 1, 69.80, 5
4 4 0, 77.05, 106

Crystal structure
```
data_InGe3
_space_group_name_H-M_alt 'F m -3 m'
_space_group_IT_number 225
_space_group_name_Hall '-F 4 2 3'
_cell_length_a 7.0017
_cell_length_b 7.0017
_cell_length_c 7.0017
_cell_angle_alpha 90.00
_cell_angle_beta 90.00
_cell_angle_gamma 90.00
loop_
_atom_site_label
_atom_site_type_symbol
_atom_site_fract_x
_atom_site_fract_y
_atom_site_fract_z
_atom_site_occupancy
In1 In 0.0000 0.0000 0.0000 1
Ge1 Ge 0.0000 0.0000 0.5000 1
Ge2 Ge 0.2500 0.2500 0.2500 1
```


4.
Structure and computed powder XRD pattern of MgH2 (a DFT-relaxed cell (PBE, the Materials Project); Cu Ka).
Neutral-atom scattering factors, no anomalous dispersion.

Principal peaks in the range 10 to 80 degrees two-theta, by angle:
index, Position (°2θ), I_rel
0 1 1, 32.40, 407
2 0 0, 33.82, 491
1 0 2, 34.36, 873
1 1 1, 36.68, 1000
2 1 1, 47.54, 328
0 1 3, 54.56, 241
3 0 2, 60.85, 178
3 1 1, 62.38, 218
2 1 3, 65.75, 250
1 2 2, 70.43, 205

Crystal structure
```
data_MgH2
_space_group_name_H-M_alt 'P n m a'
_space_group_IT_number 62
_space_group_name_Hall '-P 2ac 2n'
_cell_length_a 5.3008
_cell_length_b 3.1133
_cell_length_c 5.9968
_cell_angle_alpha 90.00
_cell_angle_beta 90.00
_cell_angle_gamma 90.00
loop_
_atom_site_label
_atom_site_type_symbol
_atom_site_fract_x
_atom_site_fract_y
_atom_site_fract_z
_atom_site_occupancy
Mg1 Mg 0.2485 0.2500 0.1033 1
H1 H 0.0226 0.7500 0.3331 1
H2 H 0.1391 0.7500 0.9253 1
```


5.
Structure and computed powder XRD pattern of K4Sn9 (a DFT-relaxed cell (PBE, the Materials Project); Cu Ka).
Neutral-atom scattering factors, no anomalous dispersion.

Principal peaks in the range 10 to 80 degrees two-theta, by angle:
index, Position (°2θ), I_rel
1 0 -2, 11.76, 1000
1 1 0, 12.12, 332
2 0 0, 12.29, 455
1 0 2, 12.74, 357
1 2 -3, 26.87, 202
4 0 2, 27.86, 247
3 2 -2, 29.50, 279
2 0 -6, 33.51, 316
2 1 -6, 35.24, 231
4 3 0, 40.62, 186

Crystal structure
```
data_K4Sn9
_space_group_name_H-M_alt 'P 1 21/c 1'
_space_group_IT_number 14
_space_group_name_Hall '-P 2ybc'
_cell_length_a 14.4663
_cell_length_b 8.4689
_cell_length_c 16.7245
_cell_angle_alpha 90.00
_cell_angle_beta 95.11
_cell_angle_gamma 90.00
loop_
_atom_site_label
_atom_site_type_symbol
_atom_site_fract_x
_atom_site_fract_y
_atom_site_fract_z
_atom_site_occupancy
K1 K 0.0089 0.0607 0.3843 1
K2 K 0.1120 0.0300 0.1428 1
K3 K 0.3373 0.0650 0.5527 1
K4 K 0.4247 0.0706 0.2381 1
Sn1 Sn 0.1099 0.6798 0.2982 1
Sn2 Sn 0.1447 0.7338 0.4743 1
Sn3 Sn 0.1720 0.1098 0.9315 1
Sn4 Sn 0.2075 0.1210 0.7588 1
Sn5 Sn 0.2474 0.5739 0.8567 1
Sn6 Sn 0.3185 0.6751 0.2472 1
Sn7 Sn 0.3256 0.5693 0.5311 1
Sn8 Sn 0.3774 0.1016 0.8797 1
Sn9 Sn 0.4257 0.7435 0.4079 1
```